(1)
This entry pairs a crystal structure of NbGaCo with its calculated powder diffractogram. Radiation: Cu Kα. Structure: a GGA-PBE-relaxed structure.
No peak broadening, texture or thermal motion is included.

Main lines, low angle first (2θ = 5–70°):
- 2θ 25.31, I 6
- 2θ 26.70, I 10
- 2θ 29.32, I 6
- 2θ 31.72, I 16
- 2θ 35.05, I 35
- 2θ 42.84, I 84
- 2θ 43.72, I 100
- 2θ 53.52, I 7
- 2θ 56.51, I 3
- 2θ 57.23, I 8
- 2θ 60.81, I 4
- 2θ 62.88, I 26

Atomic structure:
```
6
Lattice="2.0703 1.1953 6.0927 -2.0703 1.1953 6.0927 0.0000 -2.3906 6.0927" Properties=species:S:1:pos:R:3 pbc="T T T"
Nb 0.0000 0.0000 0.0000
Nb 0.0000 0.0000 2.9933
Ga 0.0000 0.0000 10.6243
Ga 0.0000 0.0000 13.6842
Co 0.0000 0.0000 5.4262
Co 0.0000 0.0000 8.0933
```

(2)
This entry pairs a crystal structure of RbAlI2Br with its calculated powder diffractogram. Radiation: Cu Kα. Structure: a GGA-PBE-relaxed structure.
No peak broadening, texture or thermal motion is included.

Main lines, low angle first (2θ = 5–70°):
- 2θ 16.41, I 7
- 2θ 27.12, I 100
- 2θ 30.50, I 48
- 2θ 33.17, I 19
- 2θ 34.83, I 4
- 2θ 43.68, I 17
- 2θ 45.68, I 31
- 2θ 52.17, I 32
- 2θ 55.66, I 13
- 2θ 55.92, I 17
- 2θ 63.48, I 6
- 2θ 69.63, I 2

Atomic structure:
```
5
Lattice="5.8618 0.0000 0.0000 0.0000 5.8618 0.0000 0.0000 0.0000 5.4013" Properties=species:S:1:pos:R:3 pbc="T T T"
Rb 0.0000 0.0000 0.0000
Al 2.9309 2.9309 2.7007
I 0.0000 2.9309 2.7007
I 2.9309 0.0000 2.7007
Br 2.9309 2.9309 0.0000
```

(3)
This entry pairs a crystal structure of SmY2Cd6 with its calculated powder diffractogram. Radiation: Cu Kα. Structure: a GGA-PBE-relaxed structure.
No peak broadening, texture or thermal motion is included.

Main lines, low angle first (2θ = 5–70°):
- 2θ 11.82, I 3
- 2θ 23.77, I 1
- 2θ 25.71, I 9
- 2θ 28.38, I 1
- 2θ 33.14, I 100
- 2θ 36.00, I 91
- 2θ 44.76, I 12
- 2θ 49.73, I 31
- 2θ 52.84, I 10
- 2θ 62.90, I 30
- 2θ 64.71, I 15
- 2θ 65.60, I 30

Atomic structure:
```
9
Lattice="8.6432 0.0000 0.0000 -4.3216 7.4852 0.0000 0.0000 0.0000 3.4649" Properties=species:S:1:pos:R:3 pbc="T T T"
Sm 0.0000 0.0000 0.0000
Y 0.0000 4.9902 0.0000
Y 4.3216 2.4951 0.0000
Cd -1.4475 2.5072 1.7325
Cd -2.8741 4.9780 1.7325
Cd 2.8951 0.0000 1.7325
Cd 1.4475 2.5072 1.7325
Cd 5.7481 0.0000 1.7325
Cd 2.8741 4.9780 1.7325
```

(4)
This entry pairs a crystal structure of Pr3Ho4Tm4 with its calculated powder diffractogram. Radiation: Cu Kα. Structure: a GGA-PBE-relaxed structure.
No peak broadening, texture or thermal motion is included.

Main lines, low angle first (2θ = 5–70°):
- 2θ 30.74, I 100
- 2θ 35.58, I 34
- 2θ 35.78, I 17
- 2θ 51.18, I 6
- 2θ 51.21, I 6
- 2θ 51.35, I 24
- 2θ 60.91, I 28
- 2θ 61.18, I 14
- 2θ 64.01, I 6
- 2θ 64.04, I 6

Atomic structure:
```
11
Lattice="19.7812 -1.7848 0.0000 19.7812 1.7848 0.0000 -0.6361 0.0000 4.9787" Properties=species:S:1:pos:R:3 pbc="T T T"
Pr 0.0000 0.0000 0.0000
Pr 14.1177 0.0000 1.8081
Pr 24.8086 0.0000 3.1706
Ho 7.1497 0.0000 0.9124
Ho 17.6590 0.0000 2.2602
Ho 21.2673 0.0000 2.7185
Ho 31.7765 0.0000 4.0663
Tm 3.5405 0.0000 0.4508
Tm 10.5906 0.0000 1.3555
Tm 28.3357 0.0000 3.6233
Tm 35.3857 0.0000 4.5279
```

(5)
This entry pairs a crystal structure of Ac3Al2Ga3 with its calculated powder diffractogram. Radiation: Cu Kα. Structure: a GGA-PBE-relaxed structure.
No peak broadening, texture or thermal motion is included.

Main lines, low angle first (2θ = 5–70°):
- 2θ 21.56, I 33
- 2θ 22.56, I 35
- 2θ 23.76, I 20
- 2θ 29.42, I 52
- 2θ 30.00, I 65
- 2θ 31.13, I 100
- 2θ 34.24, I 53
- 2θ 34.68, I 19
- 2θ 37.62, I 19
- 2θ 39.47, I 32
- 2θ 51.01, I 25
- 2θ 56.65, I 22

Atomic structure:
```
16
Lattice="2.2829 -6.0851 0.0000 2.2829 6.0851 0.0000 0.0000 0.0000 15.5198" Properties=species:S:1:pos:R:3 pbc="T T T"
Ac 2.2829 5.2248 9.4184
Ac 2.2829 5.2248 13.8612
Ac 2.2829 1.7007 11.6398
Ac 2.2829 -1.7007 3.8799
Ac 2.2829 -5.2248 1.6586
Ac 2.2829 -5.2248 6.1013
Al 2.2829 3.3505 1.5719
Al 2.2829 3.3505 6.1880
Al 2.2829 -3.3505 9.3318
Al 2.2829 -3.3505 13.9478
Ga 2.2829 1.8311 3.8799
Ga 2.2829 1.7125 8.3686
Ga 2.2829 1.7125 14.9110
Ga 2.2829 -1.7125 0.6087
Ga 2.2829 -1.7125 7.1512
Ga 2.2829 -1.8311 11.6398
```

(6)
This entry pairs a crystal structure of P2IO2 with its calculated powder diffractogram. Radiation: Cu Kα. Structure: a GGA-PBE-relaxed structure.
No peak broadening, texture or thermal motion is included.

Main lines, low angle first (2θ = 5–70°):
- 2θ 17.10, I 48
- 2θ 24.32, I 19
- 2θ 29.88, I 98
- 2θ 34.63, I 100
- 2θ 38.89, I 75
- 2θ 42.74, I 10
- 2θ 49.81, I 69
- 2θ 53.05, I 14
- 2θ 59.17, I 41
- 2θ 62.08, I 33
- 2θ 64.88, I 15
- 2θ 67.70, I 5

Atomic structure:
```
5
Lattice="3.6599 0.0000 0.0000 0.0000 3.6599 0.0000 0.0000 0.0000 5.1847" Properties=species:S:1:pos:R:3 pbc="T T T"
P 0.0000 0.0000 0.0000
P 0.0000 0.0000 2.5923
I 1.8299 1.8299 0.0000
O 0.0000 1.8299 2.5923
O 1.8299 0.0000 2.5923
```